As: simulated powder X-ray diffraction pattern (Cu Kα X-rays), based on a crystal structure in Alexandria, relaxed with GGA-PBE.
Neutral-atom scattering factors, no anomalous dispersion.

Structural model:
```
As
1.0
3.804 0.000 0.000
0.000 16.694 0.000
0.000 0.000 4.195
As
12
Direct
0.250 0.089 0.211 As
0.250 0.250 0.311 As
0.250 0.411 0.211 As
0.250 0.590 0.184 As
0.250 0.750 0.283 As
0.250 0.910 0.184 As
0.750 0.090 0.816 As
0.750 0.250 0.717 As
0.750 0.410 0.816 As
0.750 0.589 0.789 As
0.750 0.750 0.689 As
0.750 0.911 0.789 As
```

Top 10 peaks for 2θ = 10–90°, by intensity:
| two_theta | I_rel | index |
| --- | --- | --- |
| 31.75 | 100 | 1 0 1 |
| 45.83 | 69 | 1 6 1 |
| 32.17 | 53 | 0 6 0 |
| 58.81 | 18 | 2 6 0 |
| 47.82 | 17 | 2 0 0 |
| 54.80 | 16 | 0 6 2 |
| 43.12 | 15 | 0 0 2 |
| 76.34 | 13 | 1 12 1 |
| 75.66 | 11 | 2 6 2 |
| 87.73 | 11 | 3 6 1 |